Calculated powder X-ray diffraction pattern of LiPmEr2Pd4 for Cu Kα (weighted mean of Kα1 and Kα2), from a structure optimized by DFT (GGA-PBE).

The 10 most intense peaks (2θ = 10–90°), by intensity:
- 37.06 deg, 2.426 Å, rel. 1000
- 36.94 deg, 2.433 Å, rel. 887
- 66.74 deg, 1.402 Å, rel. 486
- 53.32 deg, 1.718 Å, rel. 307
- 22.39 deg, 3.971 Å, rel. 177
- 28.29 deg, 3.155 Å, rel. 169
- 21.47 deg, 4.138 Å, rel. 118
- 78.93 deg, 1.213 Å, rel. 109
- 43.71 deg, 2.071 Å, rel. 104
- 66.48 deg, 1.406 Å, rel. 104

Structure:
```
8
Lattice="2.426 1.401 7.960 -2.426 1.401 7.960 0.000 -2.801 7.960" Properties=species:S:1:pos:R:3 pbc="T T T"
Li 0.000 0.000 0.000
Pm 0.000 0.000 11.940
Er 0.000 0.000 6.200
Er 0.000 0.000 17.680
Pd 0.000 0.000 2.792
Pd 0.000 0.000 9.012
Pd 0.000 0.000 14.868
Pd 0.000 0.000 21.088
```